No. 1
Nb2Co4O9: calculated powder XRD pattern (Cu Ka), based on a structure optimized by DFT (GGA+U).

Structure:
```
data_Nb2Co4O9
_cell_length_a 5.2147
_cell_length_b 5.2229
_cell_length_c 14.3126
_cell_angle_alpha 89.92
_cell_angle_beta 89.94
_cell_angle_gamma 60.06
_symmetry_space_group_name_H-M 'P 1'
_symmetry_Int_Tables_number 1
_symmetry_space_group_name_Hall 'P 1'
loop_
_atom_site_label
_atom_site_type_symbol
_atom_site_fract_x
_atom_site_fract_y
_atom_site_fract_z
_atom_site_occupancy
Nb1 Nb 0.0000 0.0000 0.0000 1
Nb2 Nb 0.0000 0.0018 0.2161 1
Nb3 Nb 0.0008 0.9999 0.4985 1
Nb4 Nb 0.0020 0.9996 0.7157 1
Co1 Co 0.3284 0.3369 0.0461 1
Co2 Co 0.3325 0.3349 0.8443 1
Co3 Co 0.3344 0.3335 0.5523 1
Co4 Co 0.3346 0.3337 0.3432 1
Co5 Co 0.6649 0.6680 0.3693 1
Co6 Co 0.6674 0.6659 0.1628 1
Co7 Co 0.6674 0.6667 0.8706 1
Co8 Co 0.6677 0.6663 0.6617 1
O1 O 0.0010 0.2899 0.6074 1
O2 O 0.0036 0.7085 0.1076 1
O3 O 0.0226 0.3226 0.9418 1
O4 O 0.0228 0.6559 0.4411 1
O5 O 0.2907 0.7103 0.6073 1
O6 O 0.2924 0.0002 0.1075 1
O7 O 0.3224 0.6564 0.9414 1
O8 O 0.3245 0.0198 0.4412 1
O9 O 0.3452 0.9791 0.7733 1
O10 O 0.3458 0.6782 0.2732 1
O11 O 0.6576 0.0223 0.9408 1
O12 O 0.6575 0.3226 0.4413 1
O13 O 0.6799 0.3433 0.7733 1
O14 O 0.6800 0.9779 0.2738 1
O15 O 0.7109 0.9998 0.6073 1
O16 O 0.7109 0.2872 0.1077 1
O17 O 0.9785 0.3440 0.2741 1
O18 O 0.9818 0.6769 0.7737 1
```

Top 6 peaks for 15° ≤ 2θ ≤ 90°, low angle first:
- 23.27 deg, I = 23, hkl 1 0 2
- 31.90 deg, I = 100, hkl 1 0 -4
- 34.36 deg, I = 75, hkl 2 1 0
- 47.56 deg, I = 26, hkl 0 2 4
- 51.92 deg, I = 33, hkl 1 -1 6
- 59.98 deg, I = 28, hkl -2 1 4

---

No. 2
LiVF4: calculated powder XRD pattern (Cu Ka), based on a structure optimized by DFT (GGA+U).

Structure:
```
data_LiVF4
_cell_length_a 7.0532
_cell_length_b 7.5168
_cell_length_c 6.2113
_cell_angle_alpha 90.00
_cell_angle_beta 90.00
_cell_angle_gamma 90.00
_symmetry_space_group_name_H-M 'C m c m'
_symmetry_Int_Tables_number 63
_symmetry_space_group_name_Hall '-C 2c 2'
loop_
_atom_site_label
_atom_site_type_symbol
_atom_site_fract_x
_atom_site_fract_y
_atom_site_fract_z
_atom_site_occupancy
Li1 Li 0.0000 0.1253 0.2500 1
V1 V 0.0000 0.4809 0.7500 1
F1 F 0.0000 0.3250 0.0204 1
F2 F 0.2313 0.0152 0.2500 1
```

Top 6 peaks for 15° ≤ 2θ ≤ 90°, low angle first:
- 17.24 deg, I = 100, hkl 1 1 0
- 23.67 deg, I = 27, hkl 0 2 0
- 25.25 deg, I = 17, hkl 2 0 0
- 37.57 deg, I = 43, hkl 0 2 2
- 40.19 deg, I = 17, hkl 3 1 0
- 48.43 deg, I = 25, hkl 1 3 2

---

No. 3
MnCd4O5: calculated powder XRD pattern (Cu Ka), based on a structure optimized by DFT (GGA+U).

Structure:
```
data_MnCd4O5
_cell_length_a 3.3383
_cell_length_b 7.4921
_cell_length_c 11.1184
_cell_angle_alpha 101.71
_cell_angle_beta 90.00
_cell_angle_gamma 102.87
_symmetry_space_group_name_H-M 'P 1'
_symmetry_Int_Tables_number 1
_symmetry_space_group_name_Hall 'P 1'
loop_
_atom_site_label
_atom_site_type_symbol
_atom_site_fract_x
_atom_site_fract_y
_atom_site_fract_z
_atom_site_occupancy
Mn1 Mn 0.0000 0.0000 0.0000 1
Mn2 Mn 0.1912 0.4018 0.5993 1
Cd1 Cd 0.0966 0.2007 0.2996 1
Cd2 Cd 0.2949 0.5976 0.8958 1
Cd3 Cd 0.3958 0.8003 0.1970 1
Cd4 Cd 0.4931 0.0019 0.5014 1
Cd5 Cd 0.5965 0.2012 0.8000 1
Cd6 Cd 0.6984 0.4003 0.0983 1
Cd7 Cd 0.7939 0.6016 0.4024 1
Cd8 Cd 0.8959 0.8044 0.7035 1
O1 O 0.0477 0.1092 0.6491 1
O2 O 0.1450 0.2926 0.9510 1
O3 O 0.2460 0.4992 0.2502 1
O4 O 0.3376 0.6947 0.5545 1
O5 O 0.4557 0.9074 0.8605 1
O6 O 0.5435 0.0939 0.1400 1
O7 O 0.6452 0.3078 0.4596 1
O8 O 0.7389 0.4946 0.7390 1
O9 O 0.8518 0.7071 0.0448 1
O10 O 0.9433 0.9028 0.3495 1
```

Top 6 peaks for 15° ≤ 2θ ≤ 90°, low angle first:
- 32.75 deg, I = 79, hkl 0 2 2
- 32.81 deg, I = 26, hkl 1 -2 1
- 38.02 deg, I = 100, hkl 0 3 -2
- 54.83 deg, I = 53, hkl 1 3 1
- 65.33 deg, I = 25, hkl 1 4 -3
- 65.50 deg, I = 14, hkl 2 1 2

---

No. 4
BaAlCrCuO5: calculated powder XRD pattern (Cu Ka), based on a structure optimized by DFT (GGA+U).

Structure:
```
data_BaAlCrCuO5
_cell_length_a 3.7622
_cell_length_b 3.7622
_cell_length_c 7.8425
_cell_angle_alpha 90.00
_cell_angle_beta 90.00
_cell_angle_gamma 90.00
_symmetry_space_group_name_H-M 'P 4 m m'
_symmetry_Int_Tables_number 99
_symmetry_space_group_name_Hall 'P 4 -2'
loop_
_atom_site_label
_atom_site_type_symbol
_atom_site_fract_x
_atom_site_fract_y
_atom_site_fract_z
_atom_site_occupancy
Ba1 Ba 0.0000 0.0000 0.0000 1
Al1 Al 0.0000 0.0000 0.4692 1
Cr1 Cr 0.5000 0.5000 0.6838 1
Cu1 Cu 0.5000 0.5000 0.2723 1
O1 O 0.0000 0.5000 0.3042 1
O2 O 0.0000 0.5000 0.6195 1
O3 O 0.5000 0.5000 0.9295 1
```

Top 6 peaks for 15° ≤ 2θ ≤ 90°, low angle first:
- 26.27 deg, I = 42, hkl 1 0 1
- 33.00 deg, I = 100, hkl 1 0 2
- 33.69 deg, I = 41, hkl 1 1 0
- 34.30 deg, I = 24, hkl 0 0 3
- 48.39 deg, I = 34, hkl 2 0 0
- 59.81 deg, I = 35, hkl 2 1 2

---

No. 5
Ba3WO6: calculated powder XRD pattern (Cu Ka), based on a structure optimized by DFT (GGA+U).

Structure:
```
data_Ba3WO6
_cell_length_a 9.0875
_cell_length_b 9.0875
_cell_length_c 9.0875
_cell_angle_alpha 90.00
_cell_angle_beta 90.00
_cell_angle_gamma 90.00
_symmetry_space_group_name_H-M 'F m -3 m'
_symmetry_Int_Tables_number 225
_symmetry_space_group_name_Hall '-F 4 2 3'
loop_
_atom_site_label
_atom_site_type_symbol
_atom_site_fract_x
_atom_site_fract_y
_atom_site_fract_z
_atom_site_occupancy
Ba1 Ba 0.0000 0.0000 0.0000 1
Ba2 Ba 0.2500 0.2500 0.2500 1
W1 W 0.0000 0.0000 0.5000 1
O1 O 0.0000 0.0000 0.2855 1
```

Top 6 peaks for 15° ≤ 2θ ≤ 90°, low angle first:
- 27.77 deg, I = 100, hkl 2 2 0
- 39.67 deg, I = 28, hkl 4 0 0
- 49.11 deg, I = 40, hkl 4 2 2
- 57.36 deg, I = 18, hkl 4 4 0
- 64.90 deg, I = 20, hkl 6 2 0
- 78.82 deg, I = 22, hkl 6 4 2